For KFeP2, DFT lattice parameters and positions (GGA-PBE) gives the computed powder XRD pattern in this record (λ = 1.5418 Å (Cu Kα)).

Main lines, by angle (2θ = 5–70°):
two_theta	I (rel.)
13.72	100
27.64	45
33.69	38
34.11	94
47.55	46
54.75	27

abc: 3.915 3.915 6.607
angles: 101.11 101.11 50.29
Positions (direct):
K 0.000 0.000 0.000
Fe 0.500 0.500 0.500
P 0.224 0.224 0.626
P 0.776 0.776 0.374

For KFe2Pt, DFT lattice parameters and positions (GGA-PBE) gives the computed powder XRD pattern in this record (λ = 1.5418 Å (Cu Kα)).

Main lines, by angle (2θ = 5–70°):
two_theta	I (rel.)
9.33	100
18.71	13
37.37	42
43.22	19
45.95	14
50.49	9

abc: 2.793 2.793 9.483
angles: 90.00 90.00 90.00
Positions (direct):
K 0.000 0.000 0.000
Fe 0.500 0.500 0.311
Fe 0.500 0.500 0.689
Pt 0.000 0.000 0.500

What did the first record say?
For KFeP2, DFT lattice parameters and positions (GGA-PBE) gives the computed powder XRD pattern in this record (λ = 1.5418 Å (Cu Kα)).

Main lines, by angle (2θ = 5–70°):
two_theta	I (rel.)
13.72	100
27.64	45
33.69	38
34.11	94
47.55	46
54.75	27

abc: 3.915 3.915 6.607
angles: 101.11 101.11 50.29
Positions (direct):
K 0.000 0.000 0.000
Fe 0.500 0.500 0.500
P 0.224 0.224 0.626
P 0.776 0.776 0.374